Theoretical powder diffractogram
Compound: Tc2Br3F3
Radiation: a wavelength of 1.5418 Å
Structure: DFT lattice parameters and positions (PBE)
Peak positions follow from Bragg's law for the DFT cell and can differ from measured ones.

Most intense lines, 5 to 70 degrees two-theta, sorted by position:
2θ (°), I_rel
11.94, 100.0
13.26, 70.9
17.88, 78.5
20.16, 29.9
28.44, 75.3
33.42, 28.3

Structure:
Cell: 4.629 7.745 13.352 Å, 89.99 89.91 73.21°
Positions (direct):
1 Tc 0.063 0.057 0.190
2 Tc 0.384 0.057 0.311
3 Tc 0.616 0.943 0.689
4 Tc 0.937 0.943 0.810
5 Br 0.076 0.320 0.096
6 Br 0.117 0.321 0.404
7 Br 0.154 0.196 0.750
8 Br 0.846 0.804 0.250
9 Br 0.883 0.679 0.596
10 Br 0.924 0.680 0.904
11 F 0.299 0.896 0.094
12 F 0.304 0.897 0.406
13 F 0.348 0.795 0.750
14 F 0.652 0.205 0.250
15 F 0.696 0.103 0.594
16 F 0.701 0.104 0.906